Tl5Sn7: theoretical powder XRD pattern (a wavelength of 1.5418 Å), based on DFT lattice parameters and positions (GGA-PBE).
Intensities are scaled so that the largest is 100.

Top 8 peaks for 15° ≤ 2θ ≤ 90°, sorted by position:
| 2theta | I_rel | (hkl) |
| --- | --- | --- |
| 31.39 | 100.0 | 0 2 3 |
| 31.92 | 96.2 | 1 2 0 |
| 36.62 | 31.6 | 0 4 0 |
| 36.76 | 67.4 | 1 0 3 |
| 52.86 | 44.8 | 1 4 3 |
| 62.56 | 28.6 | 1 2 6 |
| 62.69 | 12.4 | 0 6 3 |
| 63.50 | 27.8 | 2 2 3 |

Structure:
Unit cell a=3.4161 b=9.8145 c=10.5025 alpha=90.00 beta=90.06 gamma=90.00
Space group P2 (No. 3)
Asymmetric unit:
Tl 0.0000 0.0000 0.0000
Tl 0.9999 0.5110 0.3397
Tl 0.4998 0.2607 0.1691
Sn 0.0000 0.5320 0.0000
Sn 0.9999 0.9994 0.3374
Sn 0.5000 0.2305 0.5000
Sn 0.5001 0.7528 0.1636
Sn 0.5000 0.7735 0.5000